# 1
For SmP2, a crystal structure in OQMD, relaxed with PBE gives the simulated powder diffractogram in this record (Cu Ka).
Peak positions follow from Bragg's law for the DFT cell and can differ from measured ones.

Structural model:
a = 5.511 Å, b = 5.289 Å, c = 16.956 Å
α = 90.00°, β = 90.00°, γ = 90.00°
Space group Cmce (No. 64)
Inequivalent atoms, fractional coordinates:
Sm1 0.000 0.120 0.113 (multiplicity 8)
P1 0.000 0.113 0.447 (multiplicity 8)
P2 0.250 0.136 0.750 (multiplicity 8)

Principal peaks in the range 10° ≤ 2θ ≤ 90°, low angle first:
20.96°, I 54.9; 23.90°, I 54.6; 25.60°, I 100.0; 28.22°, I 50.6; 32.49°, I 39.2; 35.41°, I 53.5; 37.55°, I 78.6; 38.99°, I 59.0; 39.69°, I 48.8; 47.98°, I 43.6; 50.48°, I 30.4; 54.30°, I 27.9


# 2
For La2AsPPd2O2, a crystal structure in OQMD, relaxed with PBE gives the simulated powder diffractogram in this record (Cu Ka).
Peak positions follow from Bragg's law for the DFT cell and can differ from measured ones.

Structural model:
a = 4.201 Å, b = 4.201 Å, c = 8.277 Å
α = 90.00°, β = 90.00°, γ = 90.00°
Space group P4mm (No. 99)
Inequivalent atoms, fractional coordinates:
La1 0.000 0.000 0.000 (multiplicity 1)
La2 0.500 0.500 0.280 (multiplicity 1)
As1 0.000 0.000 0.481 (multiplicity 1)
P1 0.500 0.500 0.789 (multiplicity 1)
Pd1 0.000 0.500 0.649 (multiplicity 2)
O1 0.000 0.500 0.140 (multiplicity 2)

Principal peaks in the range 10° ≤ 2θ ≤ 90°, low angle first:
23.75°, I 20.0; 30.32°, I 100.0; 32.01°, I 57.4; 32.45°, I 15.2; 37.26°, I 50.7; 43.06°, I 55.0; 53.57°, I 39.6; 54.01°, I 45.8; 54.94°, I 14.2; 62.53°, I 17.6; 72.01°, I 16.0; 87.19°, I 23.2


# 3
For Ho4CI4Br, a crystal structure in OQMD, relaxed with PBE gives the simulated powder diffractogram in this record (Cu Ka).
Peak positions follow from Bragg's law for the DFT cell and can differ from measured ones.

Structural model:
a = 18.990 Å, b = 3.905 Å, c = 8.320 Å
α = 90.00°, β = 102.24°, γ = 90.00°
Space group C2/m (No. 12)
Inequivalent atoms, fractional coordinates:
Ho1 0.001 0.000 0.304 (multiplicity 4)
Ho2 0.129 0.500 0.565 (multiplicity 4)
C1 0.000 0.500 0.500 (multiplicity 2)
I1 0.162 0.000 0.848 (multiplicity 4)
I2 0.167 0.000 0.316 (multiplicity 4)
Br1 0.000 0.500 0.000 (multiplicity 2)

Principal peaks in the range 10° ≤ 2θ ≤ 90°, low angle first:
10.88°, I 37.1; 27.99°, I 14.2; 28.87°, I 42.7; 30.35°, I 21.7; 31.42°, I 100.0; 33.31°, I 27.7; 33.44°, I 13.4; 36.45°, I 15.1; 43.08°, I 24.0; 43.30°, I 23.0; 46.52°, I 19.2; 55.68°, I 15.4


# 4
For Hf4CdPbN2, a crystal structure in OQMD, relaxed with PBE gives the simulated powder diffractogram in this record (Cu Ka).
Peak positions follow from Bragg's law for the DFT cell and can differ from measured ones.

Structural model:
a = 3.2735 Å, b = 3.2735 Å, c = 14.7406 Å
α = 90.00°, β = 90.00°, γ = 120.00°
Space group P-6m2 (No. 187)
Inequivalent atoms, fractional coordinates:
Hf1 0.0000 0.0000 0.1667 (multiplicity 2)
Hf2 0.6667 0.3333 0.3318 (multiplicity 2)
Cd1 0.6667 0.3333 0.0000 (multiplicity 1)
Pb1 0.0000 0.0000 0.5000 (multiplicity 1)
N1 0.3333 0.6667 0.2465 (multiplicity 2)

Principal peaks in the range 10° ≤ 2θ ≤ 90°, low angle first:
12.01°, I 1.3; 18.05°, I 0.8; 31.56°, I 18.6; 33.88°, I 0.9; 36.59°, I 100.0; 49.07°, I 13.4; 56.20°, I 16.8; 65.86°, I 17.4; 68.94°, I 29.9; 77.77°, I 5.6; 86.31°, I 2.4


# 5
For Pr2NiSn4Pd, a crystal structure in OQMD, relaxed with PBE gives the simulated powder diffractogram in this record (Cu Ka).
Peak positions follow from Bragg's law for the DFT cell and can differ from measured ones.

Structural model:
a = 4.505 Å, b = 4.530 Å, c = 9.683 Å
α = 90.00°, β = 101.67°, γ = 90.00°
Space group Pm (No. 6)
Inequivalent atoms, fractional coordinates:
Pr1 0.000 0.000 0.000 (multiplicity 1)
Pr2 0.295 0.500 0.445 (multiplicity 1)
Ni1 0.822 0.000 0.575 (multiplicity 1)
Sn1 0.386 0.000 0.715 (multiplicity 1)
Sn2 0.517 0.500 0.146 (multiplicity 1)
Sn3 0.780 0.000 0.312 (multiplicity 1)
Sn4 0.901 0.500 0.711 (multiplicity 1)
Pd1 0.474 0.500 0.872 (multiplicity 1)

Principal peaks in the range 10° ≤ 2θ ≤ 90°, low angle first:
28.24°, I 36.9; 31.10°, I 100.0; 31.30°, I 41.8; 31.67°, I 62.9; 34.60°, I 50.5; 39.80°, I 52.6; 40.05°, I 34.5; 43.07°, I 23.7; 47.04°, I 16.7; 51.48°, I 22.9; 57.74°, I 23.7; 66.83°, I 19.7


# 6
For ReOs2, a crystal structure in OQMD, relaxed with PBE gives the simulated powder diffractogram in this record (Cu Ka).
Peak positions follow from Bragg's law for the DFT cell and can differ from measured ones.

Structural model:
a = 5.905 Å, b = 5.905 Å, c = 5.905 Å
α = 90.00°, β = 90.00°, γ = 90.00°
Space group Fm-3m (No. 225)
Inequivalent atoms, fractional coordinates:
Re1 0.000 0.000 0.000 (multiplicity 4)
Os1 0.250 0.250 0.250 (multiplicity 8)

Principal peaks in the range 10° ≤ 2θ ≤ 90°, low angle first:
26.14°, I 27.7; 30.27°, I 15.1; 43.34°, I 100.0; 51.32°, I 13.4; 53.78°, I 4.1; 62.96°, I 16.7; 69.37°, I 5.5; 71.44°, I 5.4; 79.52°, I 34.8; 85.43°, I 4.3


# 7
For Zn2SO5, a crystal structure in OQMD, relaxed with PBE gives the simulated powder diffractogram in this record (Cu Ka).
Peak positions follow from Bragg's law for the DFT cell and can differ from measured ones.

Structural model:
a = 9.389 Å, b = 6.240 Å, c = 7.483 Å
α = 90.00°, β = 119.03°, γ = 90.00°
Space group C2/m (No. 12)
Inequivalent atoms, fractional coordinates:
Zn1 0.068 0.000 0.225 (multiplicity 4)
Zn2 0.250 0.250 0.000 (multiplicity 4)
S1 0.107 0.500 0.322 (multiplicity 4)
O1 0.001 0.307 0.736 (multiplicity 8)
O2 0.153 0.000 0.028 (multiplicity 4)
O3 0.203 0.500 0.213 (multiplicity 4)
O4 0.211 0.500 0.544 (multiplicity 4)

Principal peaks in the range 10° ≤ 2θ ≤ 90°, low angle first:
13.53°, I 73.4; 18.99°, I 19.7; 25.27°, I 91.5; 30.83°, I 55.0; 31.77°, I 19.1; 34.66°, I 100.0; 36.06°, I 21.9; 39.11°, I 19.5; 39.93°, I 34.9; 42.91°, I 23.2; 52.87°, I 27.8; 67.07°, I 18.9


# 8
For CuAg4, a crystal structure in OQMD, relaxed with PBE gives the simulated powder diffractogram in this record (Cu Ka).
Peak positions follow from Bragg's law for the DFT cell and can differ from measured ones.

Structural model:
a = 14.685 Å, b = 4.036 Å, c = 5.795 Å
α = 90.00°, β = 101.63°, γ = 90.00°
Space group C2/m (No. 12)
Inequivalent atoms, fractional coordinates:
Cu1 0.097 0.000 0.048 (multiplicity 4)
Ag1 0.000 0.500 0.239 (multiplicity 4)
Ag2 0.100 0.000 0.551 (multiplicity 4)
Ag3 0.197 0.500 0.343 (multiplicity 4)
Ag4 0.200 0.500 0.855 (multiplicity 4)

Principal peaks in the range 10° ≤ 2θ ≤ 90°, low angle first:
38.24°, I 100.0; 38.43°, I 98.9; 44.27°, I 32.5; 44.47°, I 31.8; 44.92°, I 31.2; 64.87°, I 29.2; 65.06°, I 19.2; 77.31°, I 11.4; 77.64°, I 22.5; 77.97°, I 11.1; 78.36°, I 11.2; 78.48°, I 11.2


# 9
For GdDyTa2Ge2, a crystal structure in OQMD, relaxed with PBE gives the simulated powder diffractogram in this record (Cu Ka).
Peak positions follow from Bragg's law for the DFT cell and can differ from measured ones.

Structural model:
a = 4.035 Å, b = 4.035 Å, c = 7.874 Å
α = 90.00°, β = 90.00°, γ = 90.00°
Space group P4mm (No. 99)
Inequivalent atoms, fractional coordinates:
Gd1 0.000 0.000 0.000 (multiplicity 1)
Dy1 0.500 0.500 0.702 (multiplicity 1)
Ta1 0.000 0.500 0.351 (multiplicity 2)
Ge1 0.000 0.000 0.597 (multiplicity 1)
Ge2 0.500 0.500 0.106 (multiplicity 1)

Principal peaks in the range 10° ≤ 2θ ≤ 90°, low angle first:
11.24°, I 32.8; 31.76°, I 37.6; 33.40°, I 100.0; 34.16°, I 33.3; 38.99°, I 81.5; 44.93°, I 51.3; 56.06°, I 15.1; 56.82°, I 16.8; 57.63°, I 30.1; 65.42°, I 16.7; 75.48°, I 19.3; 78.86°, I 21.0


# 10
For Li4SiSbPt2, a crystal structure in OQMD, relaxed with PBE gives the simulated powder diffractogram in this record (Cu Ka).
Peak positions follow from Bragg's law for the DFT cell and can differ from measured ones.

Structural model:
a = 4.229 Å, b = 4.229 Å, c = 6.386 Å
α = 90.00°, β = 90.00°, γ = 90.00°
Space group P-4m2 (No. 115)
Inequivalent atoms, fractional coordinates:
Li1 0.000 0.000 0.000 (multiplicity 1)
Li2 0.000 0.500 0.723 (multiplicity 2)
Li3 0.500 0.500 0.500 (multiplicity 1)
Si1 0.000 0.000 0.500 (multiplicity 1)
Sb1 0.500 0.500 0.000 (multiplicity 1)
Pt1 0.000 0.500 0.284 (multiplicity 2)

Principal peaks in the range 10° ≤ 2θ ≤ 90°, low angle first:
25.26°, I 100.0; 29.88°, I 11.6; 33.08°, I 10.3; 35.22°, I 9.3; 41.37°, I 48.2; 42.76°, I 25.1; 47.84°, I 12.8; 50.32°, I 31.3; 62.10°, I 13.3; 66.08°, I 9.8; 77.36°, I 15.5; 82.02°, I 7.6


# 11
For ErTmNi2Sn, a crystal structure in OQMD, relaxed with PBE gives the simulated powder diffractogram in this record (Cu Ka).
Peak positions follow from Bragg's law for the DFT cell and can differ from measured ones.

Structural model:
a = 3.605 Å, b = 3.979 Å, c = 13.803 Å
α = 90.00°, β = 90.00°, γ = 90.00°
Space group Amm2 (No. 38)
Inequivalent atoms, fractional coordinates:
Er1 0.000 0.000 0.000 (multiplicity 2)
Tm1 0.000 0.000 0.726 (multiplicity 2)
Ni1 0.500 0.000 0.165 (multiplicity 2)
Ni2 0.500 0.000 0.561 (multiplicity 2)
Sn1 0.500 0.000 0.363 (multiplicity 2)

Principal peaks in the range 10° ≤ 2θ ≤ 90°, low angle first:
29.68°, I 43.4; 34.18°, I 100.0; 36.03°, I 67.2; 38.98°, I 34.9; 39.74°, I 33.5; 45.59°, I 26.5; 50.64°, I 19.4; 58.14°, I 18.8; 59.43°, I 36.5; 59.81°, I 12.8; 66.23°, I 14.6; 70.49°, I 14.3


# 12
For H24PdC8N4Cl3O4, a crystal structure in OQMD, relaxed with PBE gives the simulated powder diffractogram in this record (Cu Ka).
Peak positions follow from Bragg's law for the DFT cell and can differ from measured ones.

Structural model:
a = 21.875 Å, b = 4.922 Å, c = 7.002 Å
α = 90.00°, β = 100.43°, γ = 90.00°
Space group C2 (No. 5)
Inequivalent atoms, fractional coordinates:
H1 0.061 0.000 0.228 (multiplicity 4)
H2 0.067 0.694 0.831 (multiplicity 4)
H3 0.070 0.665 0.269 (multiplicity 4)
H4 0.076 0.029 0.797 (multiplicity 4)
H5 0.133 0.135 0.482 (multiplicity 4)
H6 0.134 0.554 0.639 (multiplicity 4)
H7 0.158 0.470 0.240 (multiplicity 4)
H8 0.165 0.199 0.920 (multiplicity 4)
H9 0.179 0.916 0.219 (multiplicity 4)
H10 0.189 0.743 0.945 (multiplicity 4)
H11 0.228 0.896 0.449 (multiplicity 4)
H12 0.231 0.790 0.756 (multiplicity 4)
Pd1 0.000 0.847 0.500 (multiplicity 2)
C1 0.131 0.914 0.463 (multiplicity 4)
C2 0.133 0.776 0.658 (multiplicity 4)
C3 0.184 0.823 0.364 (multiplicity 4)
C4 0.189 0.855 0.809 (multiplicity 4)
N1 0.070 0.853 0.336 (multiplicity 4)
N2 0.074 0.841 0.730 (multiplicity 4)
Cl1 0.000 0.347 0.500 (multiplicity 2)
Cl2 0.083 0.343 0.034 (multiplicity 4)
O1 0.188 0.535 0.354 (multiplicity 4)
O2 0.195 0.140 0.840 (multiplicity 4)

Principal peaks in the range 10° ≤ 2θ ≤ 90°, low angle first:
12.86°, I 83.0; 13.96°, I 48.4; 16.49°, I 29.8; 18.49°, I 43.0; 22.15°, I 100.0; 22.75°, I 26.6; 23.01°, I 52.9; 25.86°, I 48.8; 28.13°, I 30.3; 28.62°, I 33.0; 30.11°, I 26.7; 37.49°, I 26.3


# 13
For LiFe2P2Pd, a crystal structure in OQMD, relaxed with PBE gives the simulated powder diffractogram in this record (Cu Ka).
Peak positions follow from Bragg's law for the DFT cell and can differ from measured ones.

Structural model:
a = 3.591 Å, b = 3.591 Å, c = 5.911 Å
α = 90.00°, β = 90.00°, γ = 90.00°
Space group P4mm (No. 99)
Inequivalent atoms, fractional coordinates:
Li1 0.000 0.000 0.000 (multiplicity 1)
Fe1 0.000 0.500 0.642 (multiplicity 2)
P1 0.000 0.000 0.424 (multiplicity 1)
P2 0.500 0.500 0.865 (multiplicity 1)
Pd1 0.500 0.500 0.270 (multiplicity 1)

Principal peaks in the range 10° ≤ 2θ ≤ 90°, low angle first:
14.99°, I 55.8; 24.79°, I 43.5; 29.10°, I 31.1; 30.24°, I 16.6; 38.59°, I 100.0; 39.49°, I 43.0; 47.19°, I 57.7; 50.85°, I 46.3; 53.01°, I 21.3; 66.23°, I 18.0; 76.53°, I 14.2; 87.46°, I 17.0


# 14
For NdSmZr2Sb2, a crystal structure in OQMD, relaxed with PBE gives the simulated powder diffractogram in this record (Cu Ka).
Peak positions follow from Bragg's law for the DFT cell and can differ from measured ones.

Structural model:
a = 4.339 Å, b = 4.339 Å, c = 17.012 Å
α = 90.00°, β = 90.00°, γ = 90.00°
Space group I4mm (No. 107)
Inequivalent atoms, fractional coordinates:
Nd1 0.000 0.000 0.000 (multiplicity 2)
Sm1 0.000 0.000 0.354 (multiplicity 2)
Zr1 0.000 0.500 0.178 (multiplicity 4)
Sb1 0.000 0.000 0.549 (multiplicity 2)
Sb2 0.000 0.000 0.807 (multiplicity 2)

Principal peaks in the range 10° ≤ 2θ ≤ 90°, low angle first:
29.10°, I 42.5; 30.98°, I 84.9; 31.55°, I 34.5; 33.47°, I 66.4; 36.10°, I 100.0; 41.63°, I 69.0; 53.16°, I 31.2; 54.43°, I 33.0; 60.33°, I 22.7; 69.39°, I 32.3; 72.36°, I 25.2; 79.20°, I 19.1